Record 1
The following is a simulated PXRD pattern of ZrSi4Pt3. It was derived from DFT lattice parameters and positions (PBE), using Cu Kα X-rays.

Cell and atoms:
```
data_ZrSi4Pt3
_chemical_formula_sum 'Zr1 Si4 Pt3'
_space_group_name_H-M_alt 'P 1 m 1'
_space_group_IT_number 6
_cell_length_a 4.8358
_cell_length_b 3.7802
_cell_length_c 7.0753
_cell_angle_alpha 90.00
_cell_angle_beta 93.17
_cell_angle_gamma 90.00
loop_
_space_group_symop_operation_xyz
'x,y,z'
'x,-y,z'
loop_
_atom_site_label
_atom_site_fract_x
_atom_site_fract_y
_atom_site_fract_z
Zr1 0.0000 0.0000 0.0000
Si1 0.0048 0.5000 0.7283
Si2 0.5132 0.0000 0.1482
Si3 0.5218 0.0000 0.6272
Si4 0.8086 0.5000 0.2758
Pt1 0.0114 0.0000 0.5300
Pt2 0.3071 0.5000 0.3188
Pt3 0.5146 0.5000 0.8609
```

Main lines, in order of rising 2θ (2θ = 10–90°):
- 22.88 deg, I = 38, hkl 1 0 1
- 30.02 deg, I = 71, hkl 1 1 0
- 32.22 deg, I = 45, hkl 1 0 2
- 34.76 deg, I = 100, hkl 0 1 2
- 38.90 deg, I = 39, hkl 1 1 -2
- 48.14 deg, I = 28, hkl 0 2 0

=====

Record 2
The following is a simulated PXRD pattern of TmZrBe2Ge2. It was derived from DFT lattice parameters and positions (PBE), using Cu Kα X-rays.

Cell and atoms:
```
data_TmZrBe2Ge2
_chemical_formula_sum 'Tm1 Zr1 Be2 Ge2'
_space_group_name_H-M_alt 'P -3 m 1'
_space_group_IT_number 164
_space_group_name_Hall '-P 3 2"'
_cell_length_a 3.8249
_cell_length_b 3.8249
_cell_length_c 7.6657
_cell_angle_alpha 90.00
_cell_angle_beta 90.00
_cell_angle_gamma 120.00
loop_
_atom_site_label
_atom_site_fract_x
_atom_site_fract_y
_atom_site_fract_z
Tm1 0.0000 0.0000 0.0000
Zr1 0.0000 0.0000 0.5000
Be1 0.3333 0.6667 0.7328
Ge1 0.3333 0.6667 0.2556
```

Main lines, in order of rising 2θ (2θ = 10–90°):
- 26.92 deg, I = 29, hkl 1 0 0
- 29.37 deg, I = 29, hkl 0 1 1
- 35.83 deg, I = 100, hkl 1 0 2
- 47.55 deg, I = 34, hkl 1 1 0
- 60.94 deg, I = 21, hkl 0 2 2
- 69.43 deg, I = 21, hkl 1 1 4

=====

Record 3
The following is a simulated PXRD pattern of YEr2FeCo6Ni2. It was derived from DFT lattice parameters and positions (PBE), using Cu Kα X-rays.

Cell and atoms:
```
data_YEr2FeCo6Ni2
_chemical_formula_sum 'Y3 Er6 Fe3 Co18 Ni6'
_space_group_name_H-M_alt 'R -3 m'
_space_group_IT_number 166
_space_group_name_Hall '-R 3 2"'
_cell_length_a 4.9807
_cell_length_b 4.9807
_cell_length_c 24.0416
_cell_angle_alpha 90.00
_cell_angle_beta 90.00
_cell_angle_gamma 120.00
loop_
_atom_site_label
_atom_site_fract_x
_atom_site_fract_y
_atom_site_fract_z
Y1 0.0000 0.0000 0.0000
Er1 0.0000 0.0000 0.1396
Fe1 0.0000 0.0000 0.5000
Co1 0.0028 0.5014 0.9173
Ni1 0.0000 0.0000 0.3337
```

Main lines, in order of rising 2θ (2θ = 10–90°):
- 33.35 deg, I = 48, hkl 1 0 7
- 36.07 deg, I = 58, hkl 1 1 0
- 36.44 deg, I = 38, hkl 0 1 8
- 42.06 deg, I = 40, hkl 0 2 1
- 42.75 deg, I = 100, hkl 1 1 6
- 46.13 deg, I = 25, hkl 2 0 5

=====

Record 4
The following is a simulated PXRD pattern of Ag2SnTe3. It was derived from DFT lattice parameters and positions (PBE), using Cu Kα X-rays.

Cell and atoms:
```
data_Ag2SnTe3
_chemical_formula_sum 'Ag8 Sn4 Te12'
_space_group_name_H-M_alt 'C 1 c 1'
_space_group_IT_number 9
_cell_length_a 7.8330
_cell_length_b 13.8112
_cell_length_c 7.8888
_cell_angle_alpha 90.00
_cell_angle_beta 108.23
_cell_angle_gamma 90.00
loop_
_space_group_symop_operation_xyz
'x,y,z'
'x,-y,z+1/2'
'x+1/2,y+1/2,z'
'x+1/2,-y+1/2,z+1/2'
loop_
_atom_site_label
_atom_site_fract_x
_atom_site_fract_y
_atom_site_fract_z
Ag1 0.0000 0.0852 0.0000
Ag2 0.4615 0.2368 0.9697
Sn1 0.4582 0.0883 0.4622
Te1 0.0855 0.0884 0.3677
Te2 0.0895 0.2480 0.8403
Te3 0.1106 0.4210 0.3466
```

Main lines, in order of rising 2θ (2θ = 10–90°):
- 23.82 deg, I = 100, hkl 0 0 2
- 23.92 deg, I = 34, hkl 2 0 0
- 39.12 deg, I = 34, hkl 0 6 0
- 39.47 deg, I = 34, hkl 1 3 -3
- 39.69 deg, I = 33, hkl 3 3 -1
- 46.26 deg, I = 21, hkl 0 6 2

=====

Record 5
The following is a simulated PXRD pattern of Pu2InAg3. It was derived from DFT lattice parameters and positions (PBE), using Cu Kα X-rays.

Cell and atoms:
```
data_Pu2InAg3
_chemical_formula_sum 'Pu4 In2 Ag6'
_space_group_name_H-M_alt 'P 63/m m c'
_space_group_IT_number 194
_space_group_name_Hall '-P 6c 2c'
_cell_length_a 5.8101
_cell_length_b 5.8101
_cell_length_c 9.2412
_cell_angle_alpha 90.00
_cell_angle_beta 90.00
_cell_angle_gamma 120.00
loop_
_atom_site_label
_atom_site_fract_x
_atom_site_fract_y
_atom_site_fract_z
Pu1 0.3333 0.6667 0.0593
In1 0.0000 0.0000 0.0000
Ag1 0.1712 0.3423 0.7500
```

Main lines, in order of rising 2θ (2θ = 10–90°):
- 30.78 deg, I = 53, hkl 1 1 0
- 34.13 deg, I = 80, hkl 1 0 3
- 36.54 deg, I = 100, hkl 1 1 2
- 37.03 deg, I = 57, hkl 2 0 1
- 56.90 deg, I = 35, hkl 2 1 3
- 62.34 deg, I = 29, hkl 2 0 5

=====

Record 6
The following is a simulated PXRD pattern of Fe2BiPb. It was derived from DFT lattice parameters and positions (PBE), using Cu Kα X-rays.

Cell and atoms:
```
data_Fe2BiPb
_chemical_formula_sum 'Fe8 Bi4 Pb4'
_space_group_name_H-M_alt 'P m -3 m'
_space_group_IT_number 221
_space_group_name_Hall '-P 4 2 3'
_cell_length_a 6.5563
_cell_length_b 6.5563
_cell_length_c 6.5563
_cell_angle_alpha 90.00
_cell_angle_beta 90.00
_cell_angle_gamma 90.00
loop_
_atom_site_label
_atom_site_fract_x
_atom_site_fract_y
_atom_site_fract_z
Fe1 0.2481 0.2481 0.2481
Bi1 0.0000 0.0000 0.0000
Bi2 0.0000 0.0000 0.5000
Pb1 0.0000 0.5000 0.5000
Pb2 0.5000 0.5000 0.5000
```

Main lines, in order of rising 2θ (2θ = 10–90°):
- 27.20 deg, I = 38, hkl 2 0 0
- 38.85 deg, I = 100, hkl 2 2 0
- 48.07 deg, I = 12, hkl 2 2 2
- 56.11 deg, I = 17, hkl 4 0 0
- 63.45 deg, I = 16, hkl 4 2 0
- 70.35 deg, I = 35, hkl 4 2 2

=====

Record 7
The following is a simulated PXRD pattern of NaNb4HO5. It was derived from DFT lattice parameters and positions (PBE), using Cu Kα X-rays.

Cell and atoms:
```
data_NaNb4HO5
_chemical_formula_sum 'Na1 Nb4 H1 O5'
_space_group_name_H-M_alt 'P 4/m m m'
_space_group_IT_number 123
_space_group_name_Hall '-P 4 2'
_cell_length_a 4.1934
_cell_length_b 4.1934
_cell_length_c 7.7438
_cell_angle_alpha 90.00
_cell_angle_beta 90.00
_cell_angle_gamma 90.00
loop_
_atom_site_label
_atom_site_fract_x
_atom_site_fract_y
_atom_site_fract_z
Na1 0.0000 0.0000 0.0000
Nb1 0.0000 0.5000 0.5000
Nb2 0.5000 0.5000 0.2405
H1 0.5000 0.5000 0.0000
O1 0.0000 0.0000 0.5000
O2 0.0000 0.5000 0.2253
```

Main lines, in order of rising 2θ (2θ = 10–90°):
- 11.43 deg, I = 100, hkl 0 0 1
- 21.19 deg, I = 44, hkl 1 0 0
- 31.45 deg, I = 74, hkl 1 0 2
- 32.33 deg, I = 52, hkl 1 1 1
- 38.23 deg, I = 62, hkl 1 1 2
- 43.15 deg, I = 68, hkl 2 0 0

=====

Copy entry 5 word for word.
The following is a simulated PXRD pattern of Pu2InAg3. It was derived from DFT lattice parameters and positions (PBE), using Cu Kα X-rays.

Cell and atoms:
```
data_Pu2InAg3
_chemical_formula_sum 'Pu4 In2 Ag6'
_space_group_name_H-M_alt 'P 63/m m c'
_space_group_IT_number 194
_space_group_name_Hall '-P 6c 2c'
_cell_length_a 5.8101
_cell_length_b 5.8101
_cell_length_c 9.2412
_cell_angle_alpha 90.00
_cell_angle_beta 90.00
_cell_angle_gamma 120.00
loop_
_atom_site_label
_atom_site_fract_x
_atom_site_fract_y
_atom_site_fract_z
Pu1 0.3333 0.6667 0.0593
In1 0.0000 0.0000 0.0000
Ag1 0.1712 0.3423 0.7500
```

Main lines, in order of rising 2θ (2θ = 10–90°):
- 30.78 deg, I = 53, hkl 1 1 0
- 34.13 deg, I = 80, hkl 1 0 3
- 36.54 deg, I = 100, hkl 1 1 2
- 37.03 deg, I = 57, hkl 2 0 1
- 56.90 deg, I = 35, hkl 2 1 3
- 62.34 deg, I = 29, hkl 2 0 5

=====

Copy entry 7 word for word.
The following is a simulated PXRD pattern of NaNb4HO5. It was derived from DFT lattice parameters and positions (PBE), using Cu Kα X-rays.

Cell and atoms:
```
data_NaNb4HO5
_chemical_formula_sum 'Na1 Nb4 H1 O5'
_space_group_name_H-M_alt 'P 4/m m m'
_space_group_IT_number 123
_space_group_name_Hall '-P 4 2'
_cell_length_a 4.1934
_cell_length_b 4.1934
_cell_length_c 7.7438
_cell_angle_alpha 90.00
_cell_angle_beta 90.00
_cell_angle_gamma 90.00
loop_
_atom_site_label
_atom_site_fract_x
_atom_site_fract_y
_atom_site_fract_z
Na1 0.0000 0.0000 0.0000
Nb1 0.0000 0.5000 0.5000
Nb2 0.5000 0.5000 0.2405
H1 0.5000 0.5000 0.0000
O1 0.0000 0.0000 0.5000
O2 0.0000 0.5000 0.2253
```

Main lines, in order of rising 2θ (2θ = 10–90°):
- 11.43 deg, I = 100, hkl 0 0 1
- 21.19 deg, I = 44, hkl 1 0 0
- 31.45 deg, I = 74, hkl 1 0 2
- 32.33 deg, I = 52, hkl 1 1 1
- 38.23 deg, I = 62, hkl 1 1 2
- 43.15 deg, I = 68, hkl 2 0 0